No. 1
Theoretical powder X-ray diffraction pattern
Compound: Ag3BrF4
Radiation: Cu Kα, 1.54184 Å
Structure: a cell relaxed with GGA-PBE

Atomic structure:
Cell: 13.226 6.003 8.022 Å, 90.00 108.30 90.00°
Space group C2/c (No. 15)
Asymmetric unit:
Ag: 0.000 0.000 0.000
Ag: 0.190 0.498 0.384
Br: 0.000 0.305 0.250
F: 0.146 0.132 0.986
F: 0.187 0.365 0.634

Principal peaks in the range 2θ = 10–90°, in order of rising 2θ:
2θ (°)	d [Å]	I_rel
26.0	3.433	84
26.7	3.335	100
29.8	3.001	25
43.3	2.091	60
43.6	2.078	24
50.6	1.805	23
51.3	1.780	18
53.3	1.718	18



No. 2
Theoretical powder X-ray diffraction pattern
Compound: Ag6Br7F
Radiation: Cu Kα, 1.54184 Å
Structure: a cell relaxed with GGA-PBE

Atomic structure:
Cell: 7.203 14.463 13.981 Å, 90.00 90.00 90.00°
Space group Ibam (No. 72)
Asymmetric unit:
Ag: 0.132 0.119 0.000
Ag: 0.210 0.382 0.186
Br: 0.000 0.000 0.250
Br: 0.163 0.305 0.361
Br: 0.231 0.074 0.500
F: 0.000 0.500 0.250

Principal peaks in the range 2θ = 10–90°, in order of rising 2θ:
2θ (°)	d [Å]	I_rel
24.7	3.608	100
25.9	3.441	42
28.4	3.148	89
35.2	2.552	32
36.6	2.452	41
40.2	2.243	28
44.1	2.052	87
46.3	1.959	28



No. 3
Theoretical powder X-ray diffraction pattern
Compound: Ag8Br8F3
Radiation: Cu Kα, 1.54184 Å
Structure: a cell relaxed with GGA-PBE

Atomic structure:
Cell: 24.984 4.673 9.925 Å, 90.00 101.90 90.00°
Space group C2/m (No. 12)
Asymmetric unit:
Ag: 0.007 0.000 0.219
Ag: 0.109 0.500 0.574
Ag: 0.155 0.500 0.957
Ag: 0.235 0.000 0.328
Br: 0.051 0.500 0.784
Br: 0.071 0.000 0.458
Br: 0.167 0.000 0.086
Br: 0.193 0.500 0.425
F: 0.000 0.000 0.000
F: 0.186 0.500 0.755

Principal peaks in the range 2θ = 10–90°, in order of rising 2θ:
2θ (°)	d [Å]	I_rel
20.9	4.253	32
21.1	4.214	45
21.7	4.087	33
21.9	4.063	100
25.7	3.470	34
30.0	2.980	43
38.5	2.336	52
39.8	2.268	48



No. 4
Theoretical powder X-ray diffraction pattern
Compound: AgGeBrF6
Radiation: Cu Kα, 1.54184 Å
Structure: a cell relaxed with GGA-PBE

Atomic structure:
Cell: 5.175 6.029 6.099 Å, 113.50 102.23 104.75°
Space group P1 (No. 1)
Asymmetric unit:
Ag: 0.000 0.000 0.000
Ge: 0.233 0.433 0.640
Br: 0.721 0.776 0.273
F: 0.056 0.581 0.843
F: 0.392 0.230 0.464
F: 0.474 0.438 0.943
F: 0.485 0.738 0.712
F: 0.971 0.096 0.614
F: 0.980 0.374 0.354

Principal peaks in the range 2θ = 10–90°, in order of rising 2θ:
2θ (°)	d [Å]	I_rel
17.5	5.068	31
19.0	4.682	22
20.3	4.376	100
26.3	3.385	46
29.7	3.004	58
30.0	2.978	23
30.7	2.915	18
32.8	2.731	18